1.
Sb2S3O12: calculated powder XRD pattern (Cu Kα, 1.54184 Å), based on a structure optimized by DFT (PBE).
Kinematic intensities with the Lorentz-polarization factor, no thermal factor.

```
data_Sb2S3O12
_chemical_formula_sum 'Sb4 S6 O24'
_symmetry_space_group_name_H-M 'P 1'
_symmetry_Int_Tables_number 1
_cell_length_a 9.308
_cell_length_b 9.308
_cell_length_c 9.308
_cell_angle_alpha 59.97
_cell_angle_beta 59.97
_cell_angle_gamma 59.97
loop_
_symmetry_equiv_pos_as_xyz
'x,y,z'
loop_
_atom_site_label
_atom_site_type_symbol
_atom_site_fract_x
_atom_site_fract_y
_atom_site_fract_z
Sb1 Sb 0.139 0.139 0.139
Sb2 Sb 0.361 0.361 0.361
Sb3 Sb 0.639 0.639 0.639
Sb4 Sb 0.861 0.861 0.861
S1 S 0.045 0.750 0.455
S2 S 0.250 0.545 0.955
S3 S 0.455 0.045 0.750
S4 S 0.545 0.955 0.250
S5 S 0.750 0.455 0.045
S6 S 0.955 0.250 0.545
O1 O 0.008 0.809 0.595
O2 O 0.060 0.898 0.282
O3 O 0.095 0.309 0.508
O4 O 0.102 0.718 0.940
O5 O 0.191 0.405 0.992
O6 O 0.218 0.602 0.440
O7 O 0.282 0.060 0.898
O8 O 0.309 0.508 0.095
O9 O 0.398 0.560 0.782
O10 O 0.405 0.992 0.191
O11 O 0.440 0.218 0.602
O12 O 0.492 0.905 0.691
O13 O 0.508 0.095 0.309
O14 O 0.560 0.782 0.398
O15 O 0.595 0.008 0.809
O16 O 0.602 0.440 0.218
O17 O 0.691 0.492 0.905
O18 O 0.718 0.940 0.102
O19 O 0.782 0.398 0.560
O20 O 0.809 0.595 0.008
O21 O 0.898 0.282 0.060
O22 O 0.905 0.691 0.492
O23 O 0.940 0.102 0.718
O24 O 0.992 0.191 0.405
```

Principal peaks in the range 15° ≤ 2θ ≤ 90°, in order of rising 2θ:
2θ 19.1, d 4.653, I 1000; 2θ 22.4, d 3.968, I 408; 2θ 27.1, d 3.290, I 348; 2θ 30.4, d 2.943, I 214; 2θ 33.4, d 2.686, I 582; 2θ 43.5, d 2.081, I 293; 2θ 45.7, d 1.984, I 142; 2θ 52.0, d 1.758, I 386; 2θ 57.8, d 1.596, I 128; 2θ 59.6, d 1.551, I 107

2.
Sc2S3O12: calculated powder XRD pattern (Cu Kα, 1.54184 Å), based on a structure optimized by DFT (PBE).
Kinematic intensities with the Lorentz-polarization factor, no thermal factor.

```
data_Sc2S3O12
_chemical_formula_sum 'Sc4 S6 O24'
_symmetry_space_group_name_H-M 'P 1'
_symmetry_Int_Tables_number 1
_cell_length_a 9.174
_cell_length_b 9.174
_cell_length_c 9.174
_cell_angle_alpha 57.69
_cell_angle_beta 57.69
_cell_angle_gamma 57.69
loop_
_symmetry_equiv_pos_as_xyz
'x,y,z'
loop_
_atom_site_label
_atom_site_type_symbol
_atom_site_fract_x
_atom_site_fract_y
_atom_site_fract_z
Sc1 Sc 0.144 0.144 0.144
Sc2 Sc 0.356 0.356 0.356
Sc3 Sc 0.644 0.644 0.644
Sc4 Sc 0.856 0.856 0.856
S1 S 0.036 0.750 0.464
S2 S 0.250 0.536 0.964
S3 S 0.464 0.036 0.750
S4 S 0.536 0.964 0.250
S5 S 0.750 0.464 0.036
S6 S 0.964 0.250 0.536
O1 O 0.009 0.772 0.626
O2 O 0.064 0.914 0.298
O3 O 0.086 0.702 0.936
O4 O 0.126 0.272 0.509
O5 O 0.202 0.586 0.436
O6 O 0.228 0.374 0.991
O7 O 0.272 0.509 0.126
O8 O 0.298 0.064 0.914
O9 O 0.374 0.991 0.228
O10 O 0.414 0.564 0.798
O11 O 0.436 0.202 0.586
O12 O 0.491 0.874 0.728
O13 O 0.509 0.126 0.272
O14 O 0.564 0.798 0.414
O15 O 0.586 0.436 0.202
O16 O 0.626 0.009 0.772
O17 O 0.702 0.936 0.086
O18 O 0.728 0.491 0.874
O19 O 0.772 0.626 0.009
O20 O 0.798 0.414 0.564
O21 O 0.874 0.728 0.491
O22 O 0.914 0.298 0.064
O23 O 0.936 0.086 0.702
O24 O 0.991 0.228 0.374
```

Principal peaks in the range 15° ≤ 2θ ≤ 90°, in order of rising 2θ:
2θ 19.4, d 4.581, I 241; 2θ 23.2, d 3.827, I 1000; 2θ 23.4, d 3.809, I 84; 2θ 28.0, d 3.183, I 273; 2θ 31.0, d 2.887, I 252; 2θ 31.1, d 2.874, I 123; 2θ 35.1, d 2.555, I 90; 2θ 47.5, d 1.913, I 87; 2θ 50.9, d 1.794, I 103; 2θ 54.9, d 1.673, I 84